[1]
Structure and computed PXRD pattern of GdTmGa2Ag2 (a DFT-relaxed cell (PBE, OQMD); λ = 1.5418 Å (Cu Kα)).
Kinematic intensities with the Lorentz-polarization factor, no thermal factor.

Atomic structure:
Cell: 4.5886 4.5886 6.9942 Å, 90.00 90.00 120.00°
Element x y z (fractional)
Gd (0.0000, 0.0000, 0.0000)
Tm (0.0000, 0.0000, 0.5000)
Ga (0.3333, 0.6667, 0.2871)
Ga (0.3333, 0.6667, 0.7129)
Ag (0.6667, 0.3333, 0.2492)
Ag (0.6667, 0.3333, 0.7508)

Main lines, in order of falling intensity (2θ = 10–90°):
2θ/deg, I (rel.)
34.2, 100
39.3, 64
53.0, 28
67.9, 26
67.3, 21
22.4, 13
71.2, 11
52.3, 8
84.4, 7
87.1, 6

[2]
Structure and computed PXRD pattern of Gd5Se2Cl3O10 (a DFT-relaxed cell (PBE, OQMD); λ = 1.5418 Å (Cu Kα)).
Kinematic intensities with the Lorentz-polarization factor, no thermal factor.

Atomic structure:
Cell: 6.6986 6.6986 9.6858 Å, 91.22 91.22 48.16°
Element x y z (fractional)
Gd (0.0000, 0.0000, 0.0000)
Gd (0.2915, 0.2915, 0.1073)
Gd (0.3943, 0.3943, 0.7597)
Gd (0.6057, 0.6057, 0.2403)
Gd (0.7085, 0.7085, 0.8927)
Se (0.0815, 0.0815, 0.6768)
Se (0.9185, 0.9185, 0.3232)
Cl (0.1701, 0.1701, 0.3579)
Cl (0.5000, 0.5000, 0.5000)
Cl (0.8299, 0.8299, 0.6421)
O (0.1081, 0.5990, 0.9388)
O (0.1882, 0.7100, 0.2069)
O (0.2176, 0.2176, 0.7039)
O (0.2900, 0.8118, 0.7931)
O (0.4010, 0.8919, 0.0612)
O (0.5990, 0.1081, 0.9388)
O (0.7100, 0.1882, 0.2069)
O (0.7824, 0.7824, 0.2961)
O (0.8118, 0.2900, 0.7931)
O (0.8919, 0.4010, 0.0612)

Main lines, in order of falling intensity (2θ = 10–90°):
2θ/deg, I (rel.)
29.0, 100
32.9, 71
25.5, 40
32.8, 35
48.2, 30
34.3, 25
27.3, 18
46.2, 17
55.9, 15
56.2, 15

[3]
Structure and computed PXRD pattern of PrY2Tl2Cd4 (a DFT-relaxed cell (PBE, OQMD); λ = 1.5418 Å (Cu Kα)).
Kinematic intensities with the Lorentz-polarization factor, no thermal factor.

Atomic structure:
Cell: 4.6205 7.6528 7.6528 Å, 120.77 90.00 90.00°
Element x y z (fractional)
Pr (0.0000, 0.0000, 0.0000)
Y (0.0000, 0.4230, 0.8486)
Y (0.0000, 0.8486, 0.4230)
Tl (0.5000, 0.0937, 0.7538)
Tl (0.5000, 0.7538, 0.0937)
Cd (0.0000, 0.4336, 0.4336)
Cd (0.5000, 0.1874, 0.4252)
Cd (0.5000, 0.4252, 0.1874)
Cd (0.5000, 0.6662, 0.6662)

Main lines, in order of falling intensity (2θ = 10–90°):
2θ/deg, I (rel.)
33.5, 100
30.3, 75
39.0, 51
33.2, 48
30.5, 37
41.2, 26
23.5, 26
65.3, 23
40.9, 23
35.8, 22

[4]
Structure and computed PXRD pattern of Ta5Al7 (a DFT-relaxed cell (PBE, OQMD); λ = 1.5418 Å (Cu Kα)).
Kinematic intensities with the Lorentz-polarization factor, no thermal factor.

Atomic structure:
Cell: 5.2911 5.2911 17.1168 Å, 90.00 90.00 120.00°
Element x y z (fractional)
Ta (0.0000, 0.5000, 0.0000)
Ta (0.0000, 0.5000, 0.5000)
Ta (0.3333, 0.6667, 0.1631)
Ta (0.3333, 0.6667, 0.3369)
Ta (0.5000, 0.0000, 0.0000)
Ta (0.5000, 0.0000, 0.5000)
Ta (0.5000, 0.5000, 0.0000)
Ta (0.5000, 0.5000, 0.5000)
Ta (0.6667, 0.3333, 0.6631)
Ta (0.6667, 0.3333, 0.8369)
Al (0.0000, 0.0000, 0.0881)
Al (0.0000, 0.0000, 0.4119)
Al (0.0000, 0.0000, 0.5881)
Al (0.0000, 0.0000, 0.9119)
Al (0.1615, 0.3230, 0.7500)
Al (0.1615, 0.8385, 0.7500)
Al (0.3230, 0.1615, 0.2500)
Al (0.3333, 0.6667, 0.6303)
Al (0.3333, 0.6667, 0.8697)
Al (0.6667, 0.3333, 0.1303)
Al (0.6667, 0.3333, 0.3697)
Al (0.6770, 0.8385, 0.7500)
Al (0.8385, 0.1615, 0.2500)
Al (0.8385, 0.6770, 0.2500)

Main lines, in order of falling intensity (2θ = 10–90°):
2θ/deg, I (rel.)
40.8, 100
10.3, 86
19.4, 68
44.9, 58
40.1, 55
20.1, 55
37.1, 51
31.4, 42
32.7, 28
35.5, 27

[5]
Structure and computed PXRD pattern of Dy2HoTmIr4 (a DFT-relaxed cell (PBE, OQMD); λ = 1.5418 Å (Cu Kα)).
Kinematic intensities with the Lorentz-polarization factor, no thermal factor.

Atomic structure:
Cell: 4.8142 4.8142 6.8098 Å, 90.00 90.00 90.00°
Element x y z (fractional)
Dy (0.0000, 0.0000, 0.0000)
Dy (0.5000, 0.5000, 0.5000)
Ho (0.0000, 0.0000, 0.5000)
Tm (0.5000, 0.5000, 0.0000)
Ir (0.0000, 0.5000, 0.2494)
Ir (0.0000, 0.5000, 0.7506)
Ir (0.5000, 0.0000, 0.2494)
Ir (0.5000, 0.0000, 0.7506)

Main lines, in order of falling intensity (2θ = 10–90°):
2θ/deg, I (rel.)
37.4, 100
67.4, 36
53.9, 18
79.7, 11
26.2, 1

[6]
Structure and computed PXRD pattern of PrMgB4 (a DFT-relaxed cell (PBE, OQMD); λ = 1.5418 Å (Cu Kα)).
Kinematic intensities with the Lorentz-polarization factor, no thermal factor.

Atomic structure:
Cell: 3.2025 5.5135 8.1988 Å, 90.00 90.00 90.00°
Element x y z (fractional)
Pr (0.0000, 0.0000, 0.0000)
Pr (0.5000, 0.5000, 0.5000)
Mg (0.0000, 0.0000, 0.5000)
Mg (0.5000, 0.5000, 0.0000)
B (0.0000, 0.3283, 0.2519)
B (0.0000, 0.3283, 0.7481)
B (0.0000, 0.6717, 0.2519)
B (0.0000, 0.6717, 0.7481)
B (0.5000, 0.1717, 0.2481)
B (0.5000, 0.1717, 0.7519)
B (0.5000, 0.8283, 0.2481)
B (0.5000, 0.8283, 0.7519)

Main lines, in order of falling intensity (2θ = 10–90°):
2θ/deg, I (rel.)
19.4, 100
39.3, 82
32.3, 49
21.7, 48
39.4, 42
30.0, 34
55.8, 32
44.8, 23
32.5, 23
36.7, 20

[7]
Structure and computed PXRD pattern of Li4FeGe2Pd (a DFT-relaxed cell (PBE, OQMD); λ = 1.5418 Å (Cu Kα)).
Kinematic intensities with the Lorentz-polarization factor, no thermal factor.

Atomic structure:
Cell: 4.1802 4.1802 6.0831 Å, 90.00 90.00 90.00°
Element x y z (fractional)
Li (0.0000, 0.0000, 0.0000)
Li (0.0000, 0.5000, 0.7502)
Li (0.5000, 0.0000, 0.2498)
Li (0.5000, 0.5000, 0.5000)
Fe (0.0000, 0.0000, 0.5000)
Ge (0.0000, 0.5000, 0.2693)
Ge (0.5000, 0.0000, 0.7307)
Pd (0.5000, 0.5000, 0.0000)

Main lines, in order of falling intensity (2θ = 10–90°):
2θ/deg, I (rel.)
25.9, 100
42.7, 65
43.3, 32
51.1, 30
79.0, 20
50.0, 15
68.2, 11
62.9, 10
77.6, 10
85.2, 7

[8]
Structure and computed PXRD pattern of Cs2LaErS4 (a DFT-relaxed cell (PBE, OQMD); λ = 1.5418 Å (Cu Kα)).
Kinematic intensities with the Lorentz-polarization factor, no thermal factor.

Atomic structure:
Cell: 4.2023 4.2023 16.0588 Å, 90.00 90.00 120.00°
Element x y z (fractional)
Cs (0.3333, 0.6667, 0.2463)
Cs (0.6667, 0.3333, 0.7537)
La (0.0000, 0.0000, 0.5000)
Er (0.0000, 0.0000, 0.0000)
S (0.3333, 0.6667, 0.5980)
S (0.3333, 0.6667, 0.9134)
S (0.6667, 0.3333, 0.0866)
S (0.6667, 0.3333, 0.4020)

Main lines, in order of falling intensity (2θ = 10–90°):
2θ/deg, I (rel.)
26.9, 100
29.7, 55
41.9, 44
43.0, 41
22.1, 36
48.9, 27
25.1, 19
33.2, 17
51.5, 17
69.3, 16